Diffraction record for UNbIr4. The PXRD pattern is simulated, not measured: it uses DFT lattice parameters and positions (GGA-PBE) and CuKα.
Kinematic intensities with the Lorentz-polarization factor, no thermal factor.

Structure:
```
data_UNbIr4
_symmetry_space_group_name_H-M 'C m m m'
_symmetry_Int_Tables_number 65
_symmetry_space_group_name_Hall '-C 2 2'
_cell_length_a 7.450
_cell_length_b 7.666
_cell_length_c 4.622
_cell_angle_alpha 90.00
_cell_angle_beta 90.00
_cell_angle_gamma 90.00
loop_
_atom_site_label
_atom_site_fract_x
_atom_site_fract_y
_atom_site_fract_z
U1 0.000 0.000 0.000
Nb1 0.000 0.500 0.500
Ir1 0.000 0.175 0.500
Ir2 0.175 0.500 0.000
```

Principal peaks in the range 2θ from 5° to 70°, by angle:
2θ/deg  d_spacing  I (rel.)  (hkl)
23.2  3.833  41  0 2 0
23.9  3.725  39  2 0 0
30.3  2.950  100  0 2 1
30.8  2.900  39  2 0 1
37.2  2.417  18  1 3 0
38.1  2.362  47  3 1 0
39.0  2.311  59  0 0 2
42.2  2.142  42  1 3 1
43.0  2.104  40  3 1 1
51.6  1.770  17  0 4 1
55.3  1.662  80  3 3 1
55.6  1.652  32  3 1 2